1.
Theoretical PXRD pattern
Compound: Ba3Al2Sb6O21
Radiation: Cu Kα
Structure: a crystal structure in the Materials Project, relaxed with GGA-PBE
Kinematic intensities with the Lorentz-polarization factor, no thermal factor.

Cell and atoms:
```
data_Ba3Al2Sb6O21
_chemical_formula_sum 'Ba3 Al2 Sb6 O21'
_space_group_name_H-M_alt 'P 1'
_space_group_IT_number 1
_cell_length_a 7.780
_cell_length_b 7.780
_cell_length_c 14.337
_cell_angle_alpha 99.17
_cell_angle_beta 99.17
_cell_angle_gamma 39.08
loop_
_space_group_symop_operation_xyz
'x,y,z'
loop_
_atom_site_label
_atom_site_type_symbol
_atom_site_fract_x
_atom_site_fract_y
_atom_site_fract_z
Ba1 Ba 0.000 0.000 0.000
Ba2 Ba 0.549 0.117 0.657
Ba3 Ba 0.883 0.451 0.343
Al1 Al 0.339 0.221 0.162
Al2 Al 0.779 0.661 0.838
Sb1 Sb 0.099 0.734 0.269
Sb2 Sb 0.266 0.901 0.731
Sb3 Sb 0.344 0.250 0.921
Sb4 Sb 0.550 0.251 0.407
Sb5 Sb 0.749 0.450 0.593
Sb6 Sb 0.750 0.656 0.079
O1 O 0.048 0.306 0.138
O2 O 0.126 0.370 0.800
O3 O 0.138 0.141 0.634
O4 O 0.151 0.572 0.141
O5 O 0.291 0.352 0.291
O6 O 0.352 0.486 0.952
O7 O 0.356 0.275 0.483
O8 O 0.426 0.564 0.357
O9 O 0.428 0.849 0.859
O10 O 0.436 0.574 0.643
O11 O 0.506 0.057 0.044
O12 O 0.514 0.648 0.048
O13 O 0.630 0.874 0.200
O14 O 0.648 0.709 0.709
O15 O 0.694 0.952 0.862
O16 O 0.725 0.644 0.517
O17 O 0.808 0.192 0.500
O18 O 0.859 0.862 0.366
O19 O 0.937 0.046 0.749
O20 O 0.943 0.494 0.956
O21 O 0.954 0.063 0.251
```

Peak list (8 most intense, 2θ = 5–70°, most intense first)
two_theta, I/Imax
29.65, 100
32.08, 99
25.19, 97
19.52, 93
26.48, 80
26.14, 52
18.84, 48
12.78, 39



2.
Theoretical PXRD pattern
Compound: Nd3Au
Radiation: Cu Kα
Structure: a crystal structure in the Materials Project, relaxed with GGA-PBE
Kinematic intensities with the Lorentz-polarization factor, no thermal factor.

Cell and atoms:
```
data_Nd3Au
_chemical_formula_sum 'Nd6 Au2'
_space_group_name_H-M_alt 'P 1'
_space_group_IT_number 1
_cell_length_a 7.059
_cell_length_b 7.059
_cell_length_c 5.361
_cell_angle_alpha 90.00
_cell_angle_beta 90.00
_cell_angle_gamma 120.00
loop_
_space_group_symop_operation_xyz
'x,y,z'
loop_
_atom_site_label
_atom_site_type_symbol
_atom_site_fract_x
_atom_site_fract_y
_atom_site_fract_z
Nd1 Nd 0.177 0.354 0.250
Nd2 Nd 0.177 0.823 0.250
Nd3 Nd 0.354 0.177 0.750
Nd4 Nd 0.646 0.823 0.250
Nd5 Nd 0.823 0.177 0.750
Nd6 Nd 0.823 0.646 0.750
Au1 Au 0.333 0.667 0.750
Au2 Au 0.667 0.333 0.250
```

Peak list (8 most intense, 2θ = 5–70°, most intense first)
two_theta, I/Imax
33.75, 100
29.22, 24
33.43, 23
63.07, 21
59.97, 19
51.80, 19
63.27, 15
44.98, 15



3.
Theoretical PXRD pattern
Compound: Ga2CoIr
Radiation: Cu Kα
Structure: a crystal structure in the Materials Project, relaxed with GGA-PBE
Kinematic intensities with the Lorentz-polarization factor, no thermal factor.

Cell and atoms:
```
data_Ga2CoIr
_chemical_formula_sum 'Ga2 Co1 Ir1'
_space_group_name_H-M_alt 'P 1'
_space_group_IT_number 1
_cell_length_a 4.223
_cell_length_b 4.223
_cell_length_c 4.223
_cell_angle_alpha 60.00
_cell_angle_beta 60.00
_cell_angle_gamma 60.00
loop_
_space_group_symop_operation_xyz
'x,y,z'
loop_
_atom_site_label
_atom_site_type_symbol
_atom_site_fract_x
_atom_site_fract_y
_atom_site_fract_z
Ga1 Ga 0.250 0.250 0.250
Ga2 Ga 0.750 0.750 0.750
Co1 Co 0.000 0.000 0.000
Ir1 Ir 0.500 0.500 0.500
```

Peak list (7 most intense, 2θ = 5–70°, most intense first)
two_theta, I/Imax
42.82, 100
25.84, 25
62.17, 16
50.69, 13
29.92, 9
68.47, 6
53.12, 2



4.
Theoretical PXRD pattern
Compound: HoCo5Si3
Radiation: Cu Kα
Structure: a crystal structure in the Materials Project, relaxed with GGA-PBE
Kinematic intensities with the Lorentz-polarization factor, no thermal factor.

Cell and atoms:
```
data_HoCo5Si3
_chemical_formula_sum 'Ho6 Co30 Si18'
_space_group_name_H-M_alt 'P 1'
_space_group_IT_number 1
_cell_length_a 14.678
_cell_length_b 14.678
_cell_length_c 3.665
_cell_angle_alpha 90.00
_cell_angle_beta 90.00
_cell_angle_gamma 120.00
loop_
_space_group_symop_operation_xyz
'x,y,z'
loop_
_atom_site_label
_atom_site_type_symbol
_atom_site_fract_x
_atom_site_fract_y
_atom_site_fract_z
Ho1 Ho 0.100 0.706 0.250
Ho2 Ho 0.294 0.394 0.250
Ho3 Ho 0.394 0.100 0.750
Ho4 Ho 0.606 0.900 0.250
Ho5 Ho 0.706 0.606 0.750
Ho6 Ho 0.900 0.294 0.750
Co1 Co 0.029 0.902 0.250
Co2 Co 0.048 0.266 0.250
Co3 Co 0.074 0.534 0.750
Co4 Co 0.098 0.127 0.250
Co5 Co 0.127 0.029 0.750
Co6 Co 0.148 0.413 0.750
Co7 Co 0.218 0.952 0.250
Co8 Co 0.226 0.573 0.250
Co9 Co 0.265 0.852 0.750
Co10 Co 0.266 0.218 0.750
Co11 Co 0.347 0.774 0.250
Co12 Co 0.413 0.265 0.250
Co13 Co 0.427 0.653 0.250
Co14 Co 0.460 0.926 0.750
Co15 Co 0.466 0.540 0.750
Co16 Co 0.534 0.460 0.250
Co17 Co 0.540 0.074 0.250
Co18 Co 0.573 0.347 0.750
Co19 Co 0.587 0.735 0.750
Co20 Co 0.653 0.226 0.750
Co21 Co 0.734 0.782 0.250
Co22 Co 0.735 0.148 0.250
Co23 Co 0.774 0.427 0.750
Co24 Co 0.782 0.048 0.750
Co25 Co 0.852 0.587 0.250
Co26 Co 0.873 0.971 0.250
Co27 Co 0.902 0.873 0.750
Co28 Co 0.926 0.466 0.250
Co29 Co 0.952 0.734 0.750
Co30 Co 0.971 0.098 0.750
Si1 Si 0.063 0.432 0.250
Si2 Si 0.118 0.871 0.750
Si3 Si 0.129 0.247 0.750
Si4 Si 0.238 0.681 0.750
Si5 Si 0.247 0.118 0.250
Si6 Si 0.319 0.557 0.750
Si7 Si 0.369 0.937 0.250
Si8 Si 0.432 0.369 0.750
Si9 Si 0.443 0.762 0.750
Si10 Si 0.557 0.238 0.250
Si11 Si 0.568 0.631 0.250
Si12 Si 0.631 0.063 0.750
Si13 Si 0.681 0.443 0.250
Si14 Si 0.753 0.882 0.750
Si15 Si 0.762 0.319 0.250
Si16 Si 0.871 0.753 0.250
Si17 Si 0.882 0.129 0.250
Si18 Si 0.937 0.568 0.750
```

Peak list (8 most intense, 2θ = 5–70°, most intense first)
two_theta, I/Imax
39.49, 100
37.45, 27
49.76, 23
30.67, 18
35.32, 16
54.50, 15
56.56, 14
27.20, 11



5.
Theoretical PXRD pattern
Compound: K4GaAu8
Radiation: Cu Kα
Structure: a crystal structure in the Materials Project, relaxed with GGA-PBE
Kinematic intensities with the Lorentz-polarization factor, no thermal factor.

Cell and atoms:
```
data_K4GaAu8
_chemical_formula_sum 'K8 Ga2 Au16'
_space_group_name_H-M_alt 'P 1'
_space_group_IT_number 1
_cell_length_a 11.021
_cell_length_b 11.021
_cell_length_c 11.080
_cell_angle_alpha 97.44
_cell_angle_beta 97.44
_cell_angle_gamma 31.15
loop_
_space_group_symop_operation_xyz
'x,y,z'
loop_
_atom_site_label
_atom_site_type_symbol
_atom_site_fract_x
_atom_site_fract_y
_atom_site_fract_z
K1 K 0.016 0.016 0.337
K2 K 0.215 0.215 0.399
K3 K 0.277 0.277 0.095
K4 K 0.454 0.454 0.156
K5 K 0.546 0.546 0.844
K6 K 0.723 0.723 0.905
K7 K 0.785 0.785 0.601
K8 K 0.984 0.984 0.663
Ga1 Ga 0.173 0.173 0.734
Ga2 Ga 0.827 0.827 0.266
Au1 Au 0.000 0.000 0.000
Au2 Au 0.124 0.124 0.926
Au3 Au 0.147 0.648 0.868
Au4 Au 0.149 0.615 0.420
Au5 Au 0.290 0.290 0.767
Au6 Au 0.352 0.853 0.132
Au7 Au 0.385 0.851 0.580
Au8 Au 0.401 0.401 0.649
Au9 Au 0.500 0.500 0.500
Au10 Au 0.599 0.599 0.351
Au11 Au 0.615 0.149 0.420
Au12 Au 0.648 0.147 0.868
Au13 Au 0.710 0.710 0.233
Au14 Au 0.851 0.385 0.580
Au15 Au 0.853 0.352 0.132
Au16 Au 0.876 0.876 0.074
```

Peak list (8 most intense, 2θ = 5–70°, most intense first)
two_theta, I/Imax
17.80, 100
36.05, 69
16.86, 52
17.19, 50
34.78, 47
34.95, 23
41.86, 22
39.91, 21



Repeat the fifth record exactly.
Theoretical PXRD pattern
Compound: K4GaAu8
Radiation: Cu Kα
Structure: a crystal structure in the Materials Project, relaxed with GGA-PBE
Kinematic intensities with the Lorentz-polarization factor, no thermal factor.

Cell and atoms:
```
data_K4GaAu8
_chemical_formula_sum 'K8 Ga2 Au16'
_space_group_name_H-M_alt 'P 1'
_space_group_IT_number 1
_cell_length_a 11.021
_cell_length_b 11.021
_cell_length_c 11.080
_cell_angle_alpha 97.44
_cell_angle_beta 97.44
_cell_angle_gamma 31.15
loop_
_space_group_symop_operation_xyz
'x,y,z'
loop_
_atom_site_label
_atom_site_type_symbol
_atom_site_fract_x
_atom_site_fract_y
_atom_site_fract_z
K1 K 0.016 0.016 0.337
K2 K 0.215 0.215 0.399
K3 K 0.277 0.277 0.095
K4 K 0.454 0.454 0.156
K5 K 0.546 0.546 0.844
K6 K 0.723 0.723 0.905
K7 K 0.785 0.785 0.601
K8 K 0.984 0.984 0.663
Ga1 Ga 0.173 0.173 0.734
Ga2 Ga 0.827 0.827 0.266
Au1 Au 0.000 0.000 0.000
Au2 Au 0.124 0.124 0.926
Au3 Au 0.147 0.648 0.868
Au4 Au 0.149 0.615 0.420
Au5 Au 0.290 0.290 0.767
Au6 Au 0.352 0.853 0.132
Au7 Au 0.385 0.851 0.580
Au8 Au 0.401 0.401 0.649
Au9 Au 0.500 0.500 0.500
Au10 Au 0.599 0.599 0.351
Au11 Au 0.615 0.149 0.420
Au12 Au 0.648 0.147 0.868
Au13 Au 0.710 0.710 0.233
Au14 Au 0.851 0.385 0.580
Au15 Au 0.853 0.352 0.132
Au16 Au 0.876 0.876 0.074
```

Peak list (8 most intense, 2θ = 5–70°, most intense first)
two_theta, I/Imax
17.80, 100
36.05, 69
16.86, 52
17.19, 50
34.78, 47
34.95, 23
41.86, 22
39.91, 21



Q: Which formula does entry 4 have?
A: HoCo5Si3